This entry pairs a crystal structure of Zr7N2O11 with its computed powder XRD pattern. Radiation: CuKα. Structure: the PBE geometry in Alexandria.
Intensities are scaled so that the largest is 100.

Atomic structure:
abc: 8.1763 8.1887 8.2150
angles: 72.77 72.18 72.39
Sites, in units of the cell vectors:
Zr (0.0000, 0.0000, 0.0000)
Zr (0.0083, 0.8433, 0.6342)
Zr (0.0793, 0.5757, 0.2831)
Zr (0.1540, 0.3872, 0.9201)
Zr (0.2096, 0.1888, 0.5867)
Zr (0.3285, 0.9462, 0.2391)
Zr (0.3947, 0.6943, 0.8953)
Zr (0.4364, 0.5060, 0.5396)
Zr (0.5191, 0.3186, 0.1831)
Zr (0.6030, 0.1031, 0.7947)
Zr (0.6894, 0.8872, 0.4115)
Zr (0.7444, 0.7056, 0.0427)
Zr (0.8036, 0.4936, 0.7147)
Zr (0.8908, 0.2253, 0.3380)
N (0.3487, 0.2652, 0.7188)
N (0.6256, 0.5191, 0.9787)
N (0.7722, 0.0228, 0.5479)
N (0.8438, 0.9335, 0.8729)
O (0.1117, 0.0557, 0.4421)
O (0.1187, 0.1442, 0.1163)
O (0.1991, 0.9420, 0.7686)
O (0.2071, 0.8004, 0.1183)
O (0.2519, 0.7379, 0.4507)
O (0.2734, 0.5946, 0.7675)
O (0.2834, 0.4707, 0.0796)
O (0.3046, 0.4196, 0.3933)
O (0.4394, 0.0665, 0.4066)
O (0.4828, 0.1452, 0.0601)
O (0.5128, 0.8722, 0.9383)
O (0.5661, 0.7660, 0.2733)
O (0.5788, 0.7033, 0.6318)
O (0.6373, 0.3872, 0.3527)
O (0.6450, 0.3532, 0.6954)
O (0.7776, 0.1271, 0.1889)
O (0.8831, 0.7934, 0.1933)
O (0.9203, 0.6920, 0.5081)
O (0.9469, 0.4750, 0.1575)
O (0.9489, 0.6001, 0.8244)
O (0.9810, 0.3680, 0.4866)
O (0.9936, 0.2644, 0.8241)

Main lines, in order of rising 2θ (15° ≤ 2θ ≤ 90°):
2θ = 29.8°, intensity 49, (1 2 -1); 2θ = 29.9°, intensity 100, (2 2 2); 2θ = 30.0°, intensity 50, (-1 1 2); 2θ = 34.5°, intensity 17, (1 0 3); 2θ = 34.8°, intensity 16, (3 1 0); 2θ = 49.7°, intensity 31, (3 4 1); 2θ = 49.8°, intensity 30, (1 3 4); 2θ = 50.1°, intensity 15, (-3 2 1); 2θ = 58.9°, intensity 16, (3 2 5); 2θ = 59.3°, intensity 15, (5 0 1)